Entry 1:
Structure and theoretical powder XRD pattern of Tm5Si3 (DFT lattice parameters and positions (GGA-PBE); Cu Kα (λ = 1.5418 Å)).
Neutral-atom scattering factors, no anomalous dispersion.

Most intense lines, 15 to 90 degrees two-theta, most intense first:
2θ = 36.00°, intensity 100
2θ = 31.27°, intensity 28
2θ = 32.89°, intensity 28
2θ = 25.75°, intensity 27
2θ = 59.26°, intensity 23
2θ = 37.45°, intensity 20
2θ = 24.71°, intensity 19
2θ = 55.63°, intensity 19
2θ = 52.93°, intensity 16
2θ = 58.72°, intensity 12

Structure:
Cell lengths 8.3195, 8.3195, 6.2331 Å; angles 90.00, 90.00, 120.00 degrees
Positions (direct):
Tm 0.0000 0.2429 0.2500
Tm 0.0000 0.7571 0.7500
Tm 0.2429 0.0000 0.2500
Tm 0.2429 0.2429 0.7500
Tm 0.3333 0.6667 0.0000
Tm 0.3333 0.6667 0.5000
Tm 0.6667 0.3333 0.0000
Tm 0.6667 0.3333 0.5000
Tm 0.7571 0.0000 0.7500
Tm 0.7571 0.7571 0.2500
Si 0.0000 0.3936 0.7500
Si 0.0000 0.6064 0.2500
Si 0.3936 0.0000 0.7500
Si 0.3936 0.3936 0.2500
Si 0.6064 0.0000 0.2500
Si 0.6064 0.6064 0.7500


Entry 2:
Structure and theoretical powder XRD pattern of U3Si (DFT lattice parameters and positions (GGA-PBE); Cu Kα (λ = 1.5418 Å)).
Neutral-atom scattering factors, no anomalous dispersion.

Most intense lines, 15 to 90 degrees two-theta, most intense first:
2θ = 36.58°, intensity 100
2θ = 42.49°, intensity 50
2θ = 73.87°, intensity 42
2θ = 61.66°, intensity 34
2θ = 20.88°, intensity 23
2θ = 29.69°, intensity 20
2θ = 77.76°, intensity 12
2θ = 47.80°, intensity 11
2θ = 52.70°, intensity 9
2θ = 65.85°, intensity 6

Structure:
Cell lengths 4.2548, 4.2548, 4.2548 Å; angles 90.00, 90.00, 90.00 degrees
Positions (direct):
U 0.0000 0.0000 0.5000
U 0.0000 0.5000 0.0000
U 0.5000 0.0000 0.0000
Si 0.5000 0.5000 0.5000


Entry 3:
Structure and theoretical powder XRD pattern of U3Si (DFT lattice parameters and positions (GGA-PBE); Cu Kα (λ = 1.5418 Å)).
Neutral-atom scattering factors, no anomalous dispersion.

Most intense lines, 15 to 90 degrees two-theta, most intense first:
2θ = 36.66°, intensity 100
2θ = 42.52°, intensity 31
2θ = 20.92°, intensity 26
2θ = 73.97°, intensity 22
2θ = 61.85°, intensity 21
2θ = 29.76°, intensity 18
2θ = 42.70°, intensity 17
2θ = 74.22°, intensity 14
2θ = 77.95°, intensity 10
2θ = 61.71°, intensity 10

Structure:
Cell lengths 6.0008, 6.0008, 6.0008 Å; angles 119.87, 119.87, 90.23 degrees
Positions (direct):
U 0.2260 0.7260 0.9519
U 0.2500 0.7500 0.5000
U 0.2740 0.2260 0.5000
U 0.7260 0.7740 0.5000
U 0.7500 0.2500 0.5000
U 0.7740 0.2740 0.0481
Si 0.2500 0.2500 0.0000
Si 0.7500 0.7500 0.0000


Entry 4:
Structure and theoretical powder XRD pattern of USi (DFT lattice parameters and positions (GGA-PBE); Cu Kα (λ = 1.5418 Å)).
Neutral-atom scattering factors, no anomalous dispersion.

Most intense lines, 15 to 90 degrees two-theta, most intense first:
2θ = 32.29°, intensity 100
2θ = 20.60°, intensity 84
2θ = 37.10°, intensity 80
2θ = 37.29°, intensity 64
2θ = 30.51°, intensity 46
2θ = 64.53°, intensity 27
2θ = 44.14°, intensity 24
2θ = 71.30°, intensity 23
2θ = 70.58°, intensity 22
2θ = 62.06°, intensity 20

Structure:
Cell lengths 8.6239, 3.6065, 5.0226 Å; angles 90.00, 90.00, 90.00 degrees
Positions (direct):
U 0.2135 0.2500 0.1348
U 0.2865 0.7500 0.6348
U 0.7135 0.2500 0.3652
U 0.7865 0.7500 0.8652
Si 0.0211 0.2500 0.6583
Si 0.4789 0.7500 0.1583
Si 0.5211 0.2500 0.8417
Si 0.9789 0.7500 0.3417